(1)
Ba2SrPd9: theoretical powder X-ray diffraction pattern (copper Kα), based on DFT lattice parameters and positions (PBE).

Main lines, by angle (2θ from 10° to 80°):
| 2θ (°) | Rel. int. |
| --- | --- |
| 31.83 | 20 |
| 32.03 | 25 |
| 37.30 | 29 |
| 37.66 | 100 |
| 40.46 | 20 |
| 40.70 | 35 |
| 60.84 | 21 |
| 66.97 | 24 |

Cell and atoms:
```
12
Lattice="2.795 1.613 9.209 -2.795 1.613 9.209 0.000 -3.227 9.209" Properties=species:S:1:pos:R:3 pbc="T T T"
Ba 0.000 0.000 3.849
Ba 0.000 0.000 23.777
Sr 0.000 0.000 0.000
Pd -1.398 -0.807 11.446
Pd 0.000 0.000 9.187
Pd 0.000 -1.614 16.180
Pd -1.398 0.807 16.180
Pd 0.000 0.000 13.813
Pd 1.398 -0.807 11.446
Pd 0.000 1.614 11.446
Pd 0.000 0.000 18.439
Pd 1.398 0.807 16.180
```

(2)
BaSr5Pd3: theoretical powder X-ray diffraction pattern (copper Kα), based on DFT lattice parameters and positions (PBE).

Main lines, by angle (2θ from 10° to 80°):
| 2θ (°) | Rel. int. |
| --- | --- |
| 17.05 | 49 |
| 17.37 | 73 |
| 25.95 | 86 |
| 26.17 | 85 |
| 33.61 | 78 |
| 33.95 | 64 |
| 39.41 | 46 |
| 42.13 | 100 |

Cell and atoms:
```
18
Lattice="7.288 0.000 0.000 0.000 4.572 0.000 -0.407 0.000 21.859" Properties=species:S:1:pos:R:3 pbc="T T T"
Ba 1.397 0.000 5.834
Ba 5.483 0.000 16.025
Sr 0.930 0.000 20.303
Sr 1.375 0.000 13.196
Sr 1.869 2.286 9.603
Sr 1.820 2.286 16.806
Sr 2.300 2.286 2.011
Sr 4.581 2.286 19.849
Sr 5.061 2.286 5.053
Sr 5.012 2.286 12.257
Sr 5.506 0.000 8.663
Sr 5.950 0.000 1.557
Pd 0.000 2.286 0.000
Pd -0.201 2.286 14.515
Pd 3.235 0.000 18.278
Pd 3.440 0.000 10.930
Pd 3.645 0.000 3.581
Pd 7.082 2.286 7.344
```

(3)
Ba4SrPd2: theoretical powder X-ray diffraction pattern (copper Kα), based on DFT lattice parameters and positions (PBE).

Main lines, by angle (2θ from 10° to 80°):
| 2θ (°) | Rel. int. |
| --- | --- |
| 11.05 | 34 |
| 23.54 | 24 |
| 25.93 | 75 |
| 27.23 | 100 |
| 32.57 | 85 |
| 41.00 | 24 |
| 42.86 | 23 |
| 49.15 | 26 |

Cell and atoms:
```
14
Lattice="-4.403 9.646 3.780 4.403 -9.646 3.780 4.403 9.646 -3.780" Properties=species:S:1:pos:R:3 pbc="T T T"
Ba 2.201 -0.107 0.226
Ba 6.604 0.107 0.226
Ba 0.036 3.665 0.000
Ba 4.366 3.665 0.000
Ba 2.201 -2.198 4.067
Ba 2.201 11.844 0.287
Ba 0.036 5.981 3.780
Ba 4.366 5.981 3.780
Sr 2.201 7.775 0.332
Sr 2.201 1.871 4.112
Pd 2.201 -4.684 1.966
Pd 2.201 14.330 -1.814
Pd 0.000 9.646 1.758
Pd 0.000 0.000 5.538
```

(4)
BaSr2Pd2: theoretical powder X-ray diffraction pattern (copper Kα), based on DFT lattice parameters and positions (PBE).

Main lines, by angle (2θ from 10° to 80°):
| 2θ (°) | Rel. int. |
| --- | --- |
| 15.04 | 33 |
| 26.38 | 43 |
| 27.09 | 30 |
| 28.76 | 23 |
| 30.50 | 51 |
| 31.68 | 26 |
| 35.91 | 100 |
| 39.16 | 35 |

Cell and atoms:
```
10
Lattice="2.300 -11.782 0.000 2.300 11.782 0.000 0.000 0.000 6.436" Properties=species:S:1:pos:R:3 pbc="T T T"
Ba 2.300 9.305 3.218
Ba 2.300 -9.305 0.000
Sr 2.300 5.385 1.794
Sr 2.300 1.526 3.261
Sr 2.300 -1.526 0.043
Sr 2.300 -5.385 5.012
Pd 2.300 8.175 0.019
Pd 2.300 4.152 4.955
Pd 2.300 -4.152 1.736
Pd 2.300 -8.175 3.237
```

(5)
Ba8TePd2: theoretical powder X-ray diffraction pattern (copper Kα), based on DFT lattice parameters and positions (PBE).

Main lines, by angle (2θ from 10° to 80°):
| 2θ (°) | Rel. int. |
| --- | --- |
| 16.81 | 25 |
| 19.44 | 39 |
| 23.58 | 100 |
| 26.63 | 30 |
| 33.19 | 45 |
| 34.00 | 71 |
| 41.80 | 22 |
| 43.71 | 46 |

Cell and atoms:
```
11
Lattice="6.694 0.000 0.000 0.001 10.543 0.000 0.002 5.265 9.137" Properties=species:S:1:pos:R:3 pbc="T T T"
Ba 1.637 5.271 3.047
Ba 1.681 7.915 7.625
Ba 1.681 10.527 3.051
Ba 1.681 13.175 7.599
Ba 5.016 2.633 1.538
Ba 5.016 5.281 6.086
Ba 5.016 7.893 1.512
Ba 5.060 10.537 6.090
Te 3.347 0.000 0.000
Pd 1.794 10.537 6.090
Pd 4.903 5.271 3.047
```

(6)
BaTe2Pd4: theoretical powder X-ray diffraction pattern (copper Kα), based on DFT lattice parameters and positions (PBE).

Main lines, by angle (2θ from 10° to 80°):
| 2θ (°) | Rel. int. |
| --- | --- |
| 12.52 | 50 |
| 30.71 | 42 |
| 31.96 | 100 |
| 33.94 | 38 |
| 36.07 | 49 |
| 39.26 | 76 |
| 39.69 | 29 |
| 41.57 | 59 |

Cell and atoms:
```
28
Lattice="17.788 0.000 0.000 0.000 4.589 0.000 0.000 0.000 7.702" Properties=species:S:1:pos:R:3 pbc="T T T"
Ba 2.098 1.147 0.043
Ba 6.796 3.442 3.894
Ba 10.992 1.147 3.808
Ba 15.690 3.442 7.659
Te 0.541 3.442 2.168
Te 4.038 1.147 4.492
Te 4.856 3.442 0.641
Te 8.353 1.147 6.019
Te 9.435 3.442 1.683
Te 12.932 1.147 7.061
Te 13.750 3.442 3.210
Te 17.247 1.147 5.534
Pd 1.032 3.442 5.176
Pd 1.561 1.147 3.626
Pd 3.239 3.442 2.964
Pd 3.905 3.442 5.874
Pd 4.989 1.147 2.023
Pd 5.655 1.147 6.815
Pd 7.333 3.442 7.477
Pd 7.862 1.147 1.325
Pd 9.926 3.442 6.377
Pd 10.455 1.147 0.225
Pd 12.133 3.442 0.887
Pd 12.799 3.442 5.679
Pd 13.883 1.147 1.828
Pd 14.549 1.147 4.738
Pd 16.227 3.442 4.076
Pd 16.757 1.147 2.526
```

(7)
Ba4Te8Pd3: theoretical powder X-ray diffraction pattern (copper Kα), based on DFT lattice parameters and positions (PBE).

Main lines, by angle (2θ from 10° to 80°):
| 2θ (°) | Rel. int. |
| --- | --- |
| 25.01 | 23 |
| 27.91 | 24 |
| 31.21 | 45 |
| 31.44 | 100 |
| 38.02 | 57 |
| 49.98 | 24 |
| 54.85 | 19 |
| 64.61 | 25 |

Cell and atoms:
```
15
Lattice="4.734 0.000 0.000 0.000 4.734 0.000 0.000 0.000 21.601" Properties=species:S:1:pos:R:3 pbc="T T T"
Ba 0.000 2.367 2.548
Ba 0.000 2.367 13.531
Ba 2.367 0.000 8.070
Ba 2.367 0.000 19.053
Te 0.000 0.000 5.344
Te 0.000 0.000 16.257
Te 0.000 2.367 9.421
Te 0.000 2.367 20.321
Te 2.367 0.000 1.280
Te 2.367 0.000 12.180
Te 2.367 2.367 5.344
Te 2.367 2.367 16.257
Pd 0.000 0.000 0.000
Pd 0.000 0.000 10.801
Pd 2.367 2.367 10.801
```

(8)
BaThPd: theoretical powder X-ray diffraction pattern (copper Kα), based on DFT lattice parameters and positions (PBE).

Main lines, by angle (2θ from 10° to 80°):
| 2θ (°) | Rel. int. |
| --- | --- |
| 12.95 | 20 |
| 24.32 | 29 |
| 30.64 | 100 |
| 33.36 | 71 |
| 40.66 | 46 |
| 47.90 | 26 |
| 57.94 | 33 |
| 64.62 | 38 |

Cell and atoms:
```
12
Lattice="13.671 0.000 0.000 0.000 5.368 0.000 0.000 0.000 5.374" Properties=species:S:1:pos:R:3 pbc="T T T"
Ba 1.941 0.000 0.000
Ba 1.941 2.684 2.687
Ba 11.729 0.000 0.000
Ba 11.729 2.684 2.687
Th 5.280 0.000 2.699
Th 5.280 2.684 0.012
Th 8.390 0.000 2.699
Th 8.390 2.684 0.012
Pd 0.000 0.000 2.685
Pd 0.000 2.684 5.372
Pd 6.835 0.000 0.014
Pd 6.835 2.684 2.702
```

(9)
Ba2TlPd5: theoretical powder X-ray diffraction pattern (copper Kα), based on DFT lattice parameters and positions (PBE).

Main lines, by angle (2θ from 10° to 80°):
| 2θ (°) | Rel. int. |
| --- | --- |
| 18.48 | 37 |
| 26.11 | 58 |
| 27.83 | 44 |
| 33.73 | 29 |
| 35.61 | 56 |
| 37.46 | 60 |
| 39.56 | 100 |
| 57.49 | 33 |

Cell and atoms:
```
16
Lattice="11.439 0.000 0.000 0.000 5.925 0.000 -3.890 0.000 6.010" Properties=species:S:1:pos:R:3 pbc="T T T"
Ba 0.000 0.000 0.000
Ba -1.738 2.963 3.373
Ba 5.720 2.963 0.000
Ba 3.982 0.000 3.373
Tl -0.059 0.000 4.632
Tl 5.661 2.963 4.632
Pd 1.173 1.559 2.787
Pd 1.173 4.366 2.787
Pd 2.770 1.554 0.550
Pd 2.770 4.371 0.550
Pd 3.587 2.963 2.746
Pd 6.892 1.403 2.787
Pd 6.892 4.522 2.787
Pd 8.489 1.408 0.550
Pd 8.489 4.517 0.550
Pd 9.306 0.000 2.746
```

(10)
Ba3TlPd4: theoretical powder X-ray diffraction pattern (copper Kα), based on DFT lattice parameters and positions (PBE).

Main lines, by angle (2θ from 10° to 80°):
| 2θ (°) | Rel. int. |
| --- | --- |
| 14.76 | 45 |
| 26.26 | 30 |
| 28.04 | 100 |
| 31.41 | 53 |
| 35.75 | 51 |
| 36.37 | 57 |
| 39.73 | 53 |
| 41.40 | 28 |

Cell and atoms:
```
32
Lattice="13.060 0.000 0.000 0.000 7.945 0.000 0.000 0.000 9.154" Properties=species:S:1:pos:R:3 pbc="T T T"
Ba 0.710 1.986 2.001
Ba 2.257 0.071 5.463
Ba 2.257 3.902 5.463
Ba 4.273 4.043 0.887
Ba 4.273 7.874 0.887
Ba 5.820 5.959 6.578
Ba 7.240 1.986 2.576
Ba 8.787 0.071 8.267
Ba 8.787 3.902 8.267
Ba 10.803 4.043 3.690
Ba 10.803 7.874 3.690
Ba 12.350 5.959 7.153
Tl 1.114 5.959 1.069
Tl 5.416 1.986 5.646
Tl 7.644 5.959 3.507
Tl 11.946 1.986 8.084
Pd 0.311 5.959 3.910
Pd 1.272 0.484 8.545
Pd 1.272 3.489 8.545
Pd 3.047 5.959 3.170
Pd 3.484 1.986 7.747
Pd 5.259 4.456 3.968
Pd 5.259 7.461 3.968
Pd 6.219 1.986 8.487
Pd 6.842 5.959 0.666
Pd 7.802 0.484 5.185
Pd 7.802 3.489 5.185
Pd 9.577 5.959 1.407
Pd 10.014 1.986 5.983
Pd 11.789 4.456 0.608
Pd 11.789 7.461 0.608
Pd 12.749 1.986 5.243
```

(11)
BaTl6Pd12: theoretical powder X-ray diffraction pattern (copper Kα), based on DFT lattice parameters and positions (PBE).

Main lines, by angle (2θ from 10° to 80°):
| 2θ (°) | Rel. int. |
| --- | --- |
| 24.33 | 48 |
| 32.13 | 51 |
| 32.45 | 48 |
| 38.51 | 100 |
| 38.78 | 74 |
| 42.17 | 54 |
| 42.54 | 80 |
| 47.40 | 59 |

Cell and atoms:
```
19
Lattice="6.079 3.510 3.097 -6.079 3.510 3.097 0.000 -7.019 3.097" Properties=species:S:1:pos:R:3 pbc="T T T"
Ba 0.000 0.000 0.000
Tl 0.000 -2.982 3.925
Tl -2.582 1.491 3.925
Tl -2.582 -1.491 5.365
Tl 2.582 1.491 3.925
Tl 2.582 -1.491 5.365
Tl 0.000 2.982 5.365
Pd -2.359 -4.086 4.645
Pd -4.718 0.000 4.645
Pd -1.493 -0.862 2.785
Pd 1.493 -0.862 2.785
Pd 0.000 1.724 2.785
Pd 2.359 -4.086 4.645
Pd -2.359 4.086 4.645
Pd 0.000 -1.724 6.505
Pd -1.493 0.862 6.505
Pd 1.493 0.862 6.505
Pd 4.718 0.000 4.645
Pd 2.359 4.086 4.645
```

(12)
BaTlPd2: theoretical powder X-ray diffraction pattern (copper Kα), based on DFT lattice parameters and positions (PBE).

Main lines, by angle (2θ from 10° to 80°):
| 2θ (°) | Rel. int. |
| --- | --- |
| 16.30 | 56 |
| 24.07 | 27 |
| 30.74 | 82 |
| 32.93 | 29 |
| 37.56 | 100 |
| 41.19 | 33 |
| 50.80 | 51 |
| 61.02 | 24 |

Cell and atoms:
```
12
Lattice="4.789 0.000 0.000 -2.395 4.148 0.000 0.000 0.000 16.319" Properties=species:S:1:pos:R:3 pbc="T T T"
Ba 0.000 0.000 0.000
Ba 0.000 2.765 10.879
Ba 2.395 1.383 5.440
Tl 0.000 0.000 8.159
Tl 0.000 2.765 2.720
Tl 2.395 1.383 13.599
Pd 0.000 0.000 3.206
Pd 0.000 0.000 13.113
Pd 0.000 2.765 7.673
Pd 0.000 2.765 14.085
Pd 2.395 1.383 2.234
Pd 2.395 1.383 8.646
```